(1)
Simulated PXRD pattern
Compound: La2InHgIr
Radiation: a wavelength of 1.5418 Å
Structure: a crystal structure in Alexandria, relaxed with GGA-PBE
No peak broadening, texture or thermal motion is included.

Main lines, in order of rising 2θ (10° ≤ 2θ ≤ 90°):
| 2θ/deg | d/Å | I/Imax | hkl |
| --- | --- | --- | --- |
| 29.37 | 3.041 | 41 | 1 0 2 |
| 30.23 | 2.957 | 100 | 2 1 -1 |
| 31.41 | 2.848 | 58 | 2 1 0 |
| 31.86 | 2.809 | 25 | 1 0 -3 |
| 33.30 | 2.690 | 73 | 2 1 -2 |
| 35.64 | 2.519 | 34 | 3 0 0 |
| 36.09 | 2.489 | 82 | 1 1 2 |
| 38.18 | 2.357 | 62 | 1 1 -3 |
| 41.70 | 2.166 | 57 | 0 2 0 |
| 47.75 | 1.905 | 25 | 4 0 -3 |

Atomic structure:
Cell lengths 8.146, 4.332, 8.431 Å; angles 90.00, 111.93, 90.00 degrees
Space group P2_1/m (No. 11)
Unique sites:
La  0.020  0.250  0.224 [2 per cell]
La  0.337  0.750  0.610 [2 per cell]
In  0.350  0.250  0.953 [2 per cell]
Hg  0.319  0.750  0.200 [2 per cell]
Ir  0.106  0.250  0.621 [2 per cell]


(2)
Simulated PXRD pattern
Compound: Pm5In2HgIr2
Radiation: a wavelength of 1.5418 Å
Structure: a crystal structure in Alexandria, relaxed with GGA-PBE
No peak broadening, texture or thermal motion is included.

Main lines, in order of rising 2θ (10° ≤ 2θ ≤ 90°):
| 2θ/deg | d/Å | I/Imax | hkl |
| --- | --- | --- | --- |
| 16.44 | 5.391 | 23 | 2 1 0 |
| 30.58 | 2.924 | 21 | 4 1 0 |
| 31.51 | 2.839 | 21 | 3 3 0 |
| 33.26 | 2.693 | 100 | 3 1 1 |
| 35.75 | 2.512 | 31 | 3 2 1 |
| 38.08 | 2.363 | 11 | 4 0 1 |
| 47.79 | 1.903 | 17 | 0 0 2 |
| 50.84 | 1.796 | 8 | 6 3 0 |
| 53.79 | 1.704 | 11 | 5 5 0 |
| 59.44 | 1.555 | 15 | 4 2 2 |

Atomic structure:
Cell lengths 12.055, 12.055, 3.805 Å; angles 90.00, 90.00, 90.00 degrees
Space group P4/mbm (No. 127)
Unique sites:
Pm  0.000  0.500  0.000 [2 per cell]
Pm  0.075  0.206  0.000 [8 per cell]
In  0.177  0.677  0.500 [4 per cell]
Hg  0.000  0.000  0.500 [2 per cell]
Ir  0.133  0.367  0.500 [4 per cell]


(3)
Simulated PXRD pattern
Compound: Tm3In3Hg2Ir
Radiation: a wavelength of 1.5418 Å
Structure: a crystal structure in Alexandria, relaxed with GGA-PBE
No peak broadening, texture or thermal motion is included.

Main lines, in order of rising 2θ (10° ≤ 2θ ≤ 90°):
| 2θ/deg | d/Å | I/Imax | hkl |
| --- | --- | --- | --- |
| 21.72 | 4.093 | 18 | 1 1 0 |
| 32.55 | 2.751 | 100 | 1 1 1 |
| 33.45 | 2.679 | 45 | 2 1 0 |
| 34.99 | 2.565 | 87 | 2 0 1 |
| 38.08 | 2.363 | 90 | 3 0 0 |
| 41.55 | 2.173 | 73 | 2 1 1 |
| 49.03 | 1.858 | 25 | 0 0 2 |
| 62.32 | 1.490 | 47 | 3 2 1 |
| 63.72 | 1.461 | 40 | 3 0 2 |
| 79.60 | 1.204 | 16 | 5 1 1 |

Atomic structure:
Cell lengths 8.1852, 8.1852, 3.7160 Å; angles 90.00, 90.00, 120.00 degrees
Space group P-62m (No. 189)
Unique sites:
Tm  0.0000  0.7383  0.0000 [3 per cell]
In  0.0000  0.3793  0.5000 [3 per cell]
Hg  0.3333  0.6667  0.0000 [2 per cell]
Ir  0.0000  0.0000  0.5000 [1 per cell]


(4)
Simulated PXRD pattern
Compound: Y5In2HgIr2
Radiation: a wavelength of 1.5418 Å
Structure: a crystal structure in Alexandria, relaxed with GGA-PBE
No peak broadening, texture or thermal motion is included.

Main lines, in order of rising 2θ (10° ≤ 2θ ≤ 90°):
| 2θ/deg | d/Å | I/Imax | hkl |
| --- | --- | --- | --- |
| 16.61 | 5.336 | 24 | 2 1 0 |
| 23.58 | 3.773 | 23 | 3 1 0 |
| 30.90 | 2.894 | 19 | 4 1 0 |
| 32.41 | 2.762 | 16 | 2 2 1 |
| 33.59 | 2.668 | 22 | 4 2 0 |
| 34.16 | 2.625 | 100 | 3 1 1 |
| 36.63 | 2.453 | 32 | 3 2 1 |
| 42.88 | 2.109 | 10 | 4 4 0 |
| 49.91 | 1.827 | 24 | 0 0 2 |
| 64.74 | 1.440 | 10 | 7 3 1 |

Atomic structure:
Cell lengths 11.931, 11.931, 3.655 Å; angles 90.00, 90.00, 90.00 degrees
Space group P4/mbm (No. 127)
Unique sites:
Y  0.000  0.500  0.000 [2 per cell]
Y  0.076  0.205  0.000 [8 per cell]
In  0.175  0.675  0.500 [4 per cell]
Hg  0.000  0.000  0.500 [2 per cell]
Ir  0.133  0.367  0.500 [4 per cell]